Structure and theoretical powder diffraction line list of SrSmCr4O12 (a DFT-relaxed cell (PBE+U, Alexandria); CuKα).

Top 10 peaks for 2θ = 10–90°, sorted by position:
| h k l | 2θ/deg | intensity |
| --- | --- | --- |
| 1 0 1 | 20.3 | 100 |
| 1 1 2 | 33.5 | 75 |
| 2 0 0 | 33.6 | 37 |
| 1 0 3 | 39.4 | 18 |
| 2 1 1 | 39.6 | 36 |
| 0 0 4 | 47.9 | 18 |
| 2 2 0 | 48.3 | 35 |
| 2 1 3 | 52.7 | 16 |
| 3 1 2 | 60.0 | 28 |
| 2 2 4 | 70.4 | 19 |

Crystal structure
a b c (Å): 5.3318 5.3318 7.5987
angles (deg): 90.00 90.00 90.00
Positions (direct):
Sr (0.0000, 0.0000, 0.0000)
Sm (0.5000, 0.5000, 0.5000)
Cr (0.0000, 0.5000, 0.2475)
Cr (0.0000, 0.5000, 0.7525)
Cr (0.5000, 0.0000, 0.2475)
Cr (0.5000, 0.0000, 0.7525)
O (0.0000, 0.5000, 0.0000)
O (0.0000, 0.5000, 0.5000)
O (0.2553, 0.2553, 0.2595)
O (0.2553, 0.2553, 0.7405)
O (0.2553, 0.7447, 0.2595)
O (0.2553, 0.7447, 0.7405)
O (0.5000, 0.0000, 0.0000)
O (0.5000, 0.0000, 0.5000)
O (0.7447, 0.2553, 0.2595)
O (0.7447, 0.2553, 0.7405)
O (0.7447, 0.7447, 0.2595)
O (0.7447, 0.7447, 0.7405)